Simulated powder XRD pattern
Compound: NaLaCuH
Radiation: Cu Kα
Structure: a GGA-PBE-relaxed structure
Lines closer than 0.1° are merged.

Principal peaks in the range 2θ = 5–70°, sorted by position:
| 2θ (°) | I/Imax |
| --- | --- |
| 13.21 | 55 |
| 25.48 | 22 |
| 28.80 | 100 |
| 37.16 | 57 |
| 40.36 | 6 |
| 44.91 | 28 |
| 47.01 | 14 |
| 48.34 | 19 |
| 54.23 | 17 |
| 59.65 | 14 |
| 61.95 | 10 |
| 68.10 | 7 |

```
data_NaLaCuH
_chemical_formula_sum 'Na1 La1 Cu1 H1'
_symmetry_space_group_name_H-M 'P 1'
_symmetry_Int_Tables_number 1
_cell_length_a 4.037
_cell_length_b 4.037
_cell_length_c 6.704
_cell_angle_alpha 90.00
_cell_angle_beta 90.00
_cell_angle_gamma 120.00
loop_
_symmetry_equiv_pos_as_xyz
'x,y,z'
loop_
_atom_site_label
_atom_site_type_symbol
_atom_site_fract_x
_atom_site_fract_y
_atom_site_fract_z
Na1 Na 0.000 0.000 0.000
La1 La 0.333 0.667 0.533
Cu1 Cu 0.667 0.333 0.265
H1 H 0.000 0.000 0.644
```

=====

Simulated powder XRD pattern
Compound: NaLaCuH
Radiation: Cu Kα
Structure: a GGA-PBE-relaxed structure
Lines closer than 0.1° are merged.

Principal peaks in the range 2θ = 5–70°, sorted by position:
| 2θ (°) | I/Imax |
| --- | --- |
| 16.04 | 100 |
| 27.10 | 33 |
| 31.61 | 59 |
| 31.84 | 58 |
| 32.13 | 20 |
| 32.40 | 17 |
| 32.82 | 15 |
| 39.11 | 19 |
| 39.34 | 21 |
| 39.69 | 22 |
| 43.56 | 15 |
| 54.65 | 16 |

```
data_NaLaCuH
_chemical_formula_sum 'Na1 La1 Cu1 H1'
_symmetry_space_group_name_H-M 'P 1'
_symmetry_Int_Tables_number 1
_cell_length_a 4.156
_cell_length_b 4.095
_cell_length_c 5.865
_cell_angle_alpha 90.00
_cell_angle_beta 109.56
_cell_angle_gamma 90.00
loop_
_symmetry_equiv_pos_as_xyz
'x,y,z'
loop_
_atom_site_label
_atom_site_type_symbol
_atom_site_fract_x
_atom_site_fract_y
_atom_site_fract_z
Na1 Na 0.000 0.000 0.000
La1 La 0.302 0.500 0.567
Cu1 Cu 0.714 0.000 0.422
H1 H 0.277 0.000 0.386
```

=====

Simulated powder XRD pattern
Compound: LaCuNiH6
Radiation: Cu Kα
Structure: a GGA-PBE-relaxed structure
Lines closer than 0.1° are merged.

Principal peaks in the range 2θ = 5–70°, sorted by position:
| 2θ (°) | I/Imax |
| --- | --- |
| 23.02 | 10 |
| 30.43 | 100 |
| 39.86 | 13 |
| 40.44 | 40 |
| 46.53 | 4 |
| 47.04 | 2 |
| 51.44 | 22 |
| 58.08 | 27 |
| 63.32 | 1 |
| 63.73 | 1 |
| 66.58 | 10 |
| 67.39 | 19 |

```
data_LaCuNiH6
_chemical_formula_sum 'La1 Cu1 Ni1 H6'
_symmetry_space_group_name_H-M 'P 1'
_symmetry_Int_Tables_number 1
_cell_length_a 4.461
_cell_length_b 4.461
_cell_length_c 4.523
_cell_angle_alpha 90.00
_cell_angle_beta 90.00
_cell_angle_gamma 120.00
loop_
_symmetry_equiv_pos_as_xyz
'x,y,z'
loop_
_atom_site_label
_atom_site_type_symbol
_atom_site_fract_x
_atom_site_fract_y
_atom_site_fract_z
La1 La 0.000 0.000 0.000
Cu1 Cu 0.333 0.667 0.500
Ni1 Ni 0.667 0.333 0.500
H1 H 0.507 0.014 0.261
H2 H 0.507 0.014 0.739
H3 H 0.507 0.493 0.261
H4 H 0.507 0.493 0.739
H5 H 0.986 0.493 0.261
H6 H 0.986 0.493 0.739
```

=====

Simulated powder XRD pattern
Compound: LaCuNi4H6
Radiation: Cu Kα
Structure: a GGA-PBE-relaxed structure
Lines closer than 0.1° are merged.

Principal peaks in the range 2θ = 5–70°, sorted by position:
| 2θ (°) | I/Imax |
| --- | --- |
| 13.28 | 5 |
| 23.57 | 9 |
| 27.15 | 40 |
| 35.95 | 100 |
| 40.61 | 14 |
| 41.43 | 88 |
| 48.22 | 2 |
| 50.24 | 8 |
| 55.99 | 26 |
| 59.41 | 29 |
| 60.76 | 15 |
| 67.09 | 6 |

```
data_LaCuNi4H6
_chemical_formula_sum 'La1 Cu1 Ni4 H6'
_symmetry_space_group_name_H-M 'P 1'
_symmetry_Int_Tables_number 1
_cell_length_a 4.359
_cell_length_b 4.359
_cell_length_c 6.665
_cell_angle_alpha 90.00
_cell_angle_beta 90.00
_cell_angle_gamma 120.00
loop_
_symmetry_equiv_pos_as_xyz
'x,y,z'
loop_
_atom_site_label
_atom_site_type_symbol
_atom_site_fract_x
_atom_site_fract_y
_atom_site_fract_z
La1 La 0.000 0.000 0.000
Cu1 Cu 0.000 0.000 0.500
Ni1 Ni 0.333 0.667 0.324
Ni2 Ni 0.333 0.667 0.676
Ni3 Ni 0.667 0.333 0.324
Ni4 Ni 0.667 0.333 0.676
H1 H 0.000 0.500 0.176
H2 H 0.000 0.500 0.824
H3 H 0.500 0.000 0.176
H4 H 0.500 0.000 0.824
H5 H 0.500 0.500 0.176
H6 H 0.500 0.500 0.824
```

=====

Simulated powder XRD pattern
Compound: LaCuSbH
Radiation: Cu Kα
Structure: a GGA-PBE-relaxed structure
Lines closer than 0.1° are merged.

Principal peaks in the range 2θ = 5–70°, sorted by position:
| 2θ (°) | I/Imax |
| --- | --- |
| 19.62 | 2 |
| 23.30 | 6 |
| 30.64 | 100 |
| 39.84 | 12 |
| 40.95 | 43 |
| 45.79 | 1 |
| 46.66 | 9 |
| 52.00 | 22 |
| 58.46 | 22 |
| 63.80 | 4 |
| 66.67 | 10 |
| 68.22 | 19 |

```
data_LaCuSbH
_chemical_formula_sum 'La1 Cu1 Sb1 H1'
_symmetry_space_group_name_H-M 'P 1'
_symmetry_Int_Tables_number 1
_cell_length_a 4.408
_cell_length_b 4.408
_cell_length_c 4.526
_cell_angle_alpha 90.00
_cell_angle_beta 90.00
_cell_angle_gamma 120.00
loop_
_symmetry_equiv_pos_as_xyz
'x,y,z'
loop_
_atom_site_label
_atom_site_type_symbol
_atom_site_fract_x
_atom_site_fract_y
_atom_site_fract_z
La1 La 0.000 0.000 0.000
Cu1 Cu 0.333 0.667 0.414
Sb1 Sb 0.667 0.333 0.527
H1 H 0.333 0.667 0.044
```

=====

Simulated powder XRD pattern
Compound: Li4CuH5
Radiation: Cu Kα
Structure: a GGA-PBE-relaxed structure
Lines closer than 0.1° are merged.

Principal peaks in the range 2θ = 5–70°, sorted by position:
| 2θ (°) | I/Imax |
| --- | --- |
| 7.69 | 100 |
| 15.41 | 23 |
| 23.21 | 9 |
| 31.12 | 4 |
| 37.21 | 8 |
| 37.50 | 8 |
| 38.61 | 7 |
| 39.43 | 11 |
| 41.54 | 6 |
| 42.82 | 5 |
| 45.77 | 10 |
| 47.43 | 5 |

```
data_Li4CuH5
_chemical_formula_sum 'Li4 Cu1 H5'
_symmetry_space_group_name_H-M 'P 1'
_symmetry_Int_Tables_number 1
_cell_length_a 11.610
_cell_length_b 11.610
_cell_length_c 11.610
_cell_angle_alpha 13.84
_cell_angle_beta 13.84
_cell_angle_gamma 13.84
loop_
_symmetry_equiv_pos_as_xyz
'x,y,z'
loop_
_atom_site_label
_atom_site_type_symbol
_atom_site_fract_x
_atom_site_fract_y
_atom_site_fract_z
Li1 Li 0.101 0.101 0.101
Li2 Li 0.300 0.300 0.300
Li3 Li 0.700 0.700 0.700
Li4 Li 0.899 0.899 0.899
Cu1 Cu 0.500 0.500 0.500
H1 H 0.000 0.000 0.000
H2 H 0.197 0.197 0.197
H3 H 0.400 0.400 0.400
H4 H 0.600 0.600 0.600
H5 H 0.803 0.803 0.803
```

=====

Simulated powder XRD pattern
Compound: Li4CuH2
Radiation: Cu Kα
Structure: a GGA-PBE-relaxed structure
Lines closer than 0.1° are merged.

Principal peaks in the range 2θ = 5–70°, sorted by position:
| 2θ (°) | I/Imax |
| --- | --- |
| 16.79 | 48 |
| 21.12 | 100 |
| 27.50 | 31 |
| 32.05 | 36 |
| 32.39 | 19 |
| 39.28 | 19 |
| 43.00 | 17 |
| 44.24 | 14 |
| 45.02 | 27 |
| 47.39 | 14 |
| 51.57 | 18 |
| 52.88 | 14 |

```
data_Li4CuH2
_chemical_formula_sum 'Li4 Cu1 H2'
_symmetry_space_group_name_H-M 'P 1'
_symmetry_Int_Tables_number 1
_cell_length_a 6.197
_cell_length_b 6.197
_cell_length_c 6.197
_cell_angle_alpha 136.56
_cell_angle_beta 136.56
_cell_angle_gamma 63.12
loop_
_symmetry_equiv_pos_as_xyz
'x,y,z'
loop_
_atom_site_label
_atom_site_type_symbol
_atom_site_fract_x
_atom_site_fract_y
_atom_site_fract_z
Li1 Li 0.000 0.500 0.500
Li2 Li 0.240 0.240 0.000
Li3 Li 0.500 0.000 0.500
Li4 Li 0.760 0.760 0.000
Cu1 Cu 0.000 0.000 0.000
H1 H 0.404 0.404 0.000
H2 H 0.596 0.596 0.000
```

=====

Simulated powder XRD pattern
Compound: Li4CuH6
Radiation: Cu Kα
Structure: a GGA-PBE-relaxed structure
Lines closer than 0.1° are merged.

Principal peaks in the range 2θ = 5–70°, sorted by position:
| 2θ (°) | I/Imax |
| --- | --- |
| 18.99 | 86 |
| 21.14 | 36 |
| 21.81 | 100 |
| 22.53 | 54 |
| 24.52 | 74 |
| 24.97 | 46 |
| 33.05 | 27 |
| 37.43 | 62 |
| 38.53 | 57 |
| 38.70 | 29 |
| 42.14 | 23 |
| 56.88 | 21 |

```
data_Li4CuH6
_chemical_formula_sum 'Li8 Cu2 H12'
_symmetry_space_group_name_H-M 'P 1'
_symmetry_Int_Tables_number 1
_cell_length_a 4.812
_cell_length_b 4.812
_cell_length_c 9.765
_cell_angle_alpha 104.34
_cell_angle_beta 104.34
_cell_angle_gamma 62.11
loop_
_symmetry_equiv_pos_as_xyz
'x,y,z'
loop_
_atom_site_label
_atom_site_type_symbol
_atom_site_fract_x
_atom_site_fract_y
_atom_site_fract_z
Li1 Li 0.157 0.526 0.833
Li2 Li 0.182 0.818 0.500
Li3 Li 0.198 0.645 0.170
Li4 Li 0.475 0.890 0.043
Li5 Li 0.526 0.157 0.333
Li6 Li 0.645 0.198 0.670
Li7 Li 0.818 0.182 0.000
Li8 Li 0.890 0.475 0.543
Cu1 Cu 0.491 0.830 0.766
Cu2 Cu 0.830 0.491 0.266
H1 H 0.115 0.444 0.405
H2 H 0.118 0.266 0.169
H3 H 0.145 0.786 0.005
H4 H 0.266 0.118 0.669
H5 H 0.301 0.620 0.668
H6 H 0.444 0.115 0.905
H7 H 0.537 0.666 0.365
H8 H 0.620 0.301 0.168
H9 H 0.666 0.537 0.865
H10 H 0.770 0.807 0.206
H11 H 0.786 0.145 0.505
H12 H 0.807 0.770 0.706
```

=====

Simulated powder XRD pattern
Compound: Na2LiCuH6
Radiation: Cu Kα
Structure: a GGA-PBE-relaxed structure
Lines closer than 0.1° are merged.

Principal peaks in the range 2θ = 5–70°, sorted by position:
| 2θ (°) | I/Imax |
| --- | --- |
| 21.07 | 95 |
| 25.63 | 6 |
| 33.81 | 100 |
| 36.56 | 40 |
| 37.67 | 22 |
| 42.58 | 28 |
| 44.20 | 13 |
| 52.66 | 15 |
| 53.50 | 14 |
| 58.66 | 19 |
| 64.06 | 28 |
| 69.94 | 6 |

```
data_Na2LiCuH6
_chemical_formula_sum 'Na2 Li1 Cu1 H6'
_symmetry_space_group_name_H-M 'P 1'
_symmetry_Int_Tables_number 1
_cell_length_a 5.374
_cell_length_b 5.374
_cell_length_c 5.374
_cell_angle_alpha 125.56
_cell_angle_beta 125.56
_cell_angle_gamma 80.61
loop_
_symmetry_equiv_pos_as_xyz
'x,y,z'
loop_
_atom_site_label
_atom_site_type_symbol
_atom_site_fract_x
_atom_site_fract_y
_atom_site_fract_z
Na1 Na 0.250 0.750 0.500
Na2 Na 0.750 0.250 0.500
Li1 Li 0.000 0.000 0.000
Cu1 Cu 0.500 0.500 0.000
H1 H 0.225 0.225 0.000
H2 H 0.281 0.281 0.562
H3 H 0.281 0.719 0.000
H4 H 0.719 0.281 0.000
H5 H 0.719 0.719 0.438
H6 H 0.775 0.775 0.000
```

=====

Simulated powder XRD pattern
Compound: Na2LiCu2H6
Radiation: Cu Kα
Structure: a GGA-PBE-relaxed structure
Lines closer than 0.1° are merged.

Principal peaks in the range 2θ = 5–70°, sorted by position:
| 2θ (°) | I/Imax |
| --- | --- |
| 20.46 | 100 |
| 21.54 | 36 |
| 32.36 | 23 |
| 34.74 | 72 |
| 35.30 | 29 |
| 35.49 | 36 |
| 37.28 | 44 |
| 41.90 | 13 |
| 46.08 | 21 |
| 48.78 | 16 |
| 50.92 | 18 |
| 54.40 | 15 |

```
data_Na2LiCu2H6
_chemical_formula_sum 'Na2 Li1 Cu2 H6'
_symmetry_space_group_name_H-M 'P 1'
_symmetry_Int_Tables_number 1
_cell_length_a 5.231
_cell_length_b 5.231
_cell_length_c 5.512
_cell_angle_alpha 109.75
_cell_angle_beta 109.75
_cell_angle_gamma 57.83
loop_
_symmetry_equiv_pos_as_xyz
'x,y,z'
loop_
_atom_site_label
_atom_site_type_symbol
_atom_site_fract_x
_atom_site_fract_y
_atom_site_fract_z
Na1 Na 0.220 0.220 0.183
Na2 Na 0.780 0.780 0.817
Li1 Li 0.000 0.000 0.500
Cu1 Cu 0.432 0.432 0.757
Cu2 Cu 0.568 0.568 0.243
H1 H 0.205 0.702 0.199
H2 H 0.244 0.244 0.646
H3 H 0.298 0.795 0.801
H4 H 0.702 0.205 0.199
H5 H 0.756 0.756 0.354
H6 H 0.795 0.298 0.801
```

=====

Simulated powder XRD pattern
Compound: Na3LiCu2H6
Radiation: Cu Kα
Structure: a GGA-PBE-relaxed structure
Lines closer than 0.1° are merged.

Principal peaks in the range 2θ = 5–70°, sorted by position:
| 2θ (°) | I/Imax |
| --- | --- |
| 19.23 | 33 |
| 24.12 | 74 |
| 29.08 | 29 |
| 33.63 | 100 |
| 35.10 | 56 |
| 41.82 | 14 |
| 45.04 | 43 |
| 49.40 | 22 |
| 54.70 | 14 |
| 60.15 | 17 |
| 61.09 | 20 |
| 68.18 | 11 |

```
data_Na3LiCu2H6
_chemical_formula_sum 'Na3 Li1 Cu2 H6'
_symmetry_space_group_name_H-M 'P 1'
_symmetry_Int_Tables_number 1
_cell_length_a 5.329
_cell_length_b 5.329
_cell_length_c 6.142
_cell_angle_alpha 90.00
_cell_angle_beta 90.00
_cell_angle_gamma 120.00
loop_
_symmetry_equiv_pos_as_xyz
'x,y,z'
loop_
_atom_site_label
_atom_site_type_symbol
_atom_site_fract_x
_atom_site_fract_y
_atom_site_fract_z
Na1 Na 0.000 0.000 0.000
Na2 Na 0.333 0.667 0.724
Na3 Na 0.667 0.333 0.276
Li1 Li 0.000 0.000 0.500
Cu1 Cu 0.333 0.667 0.259
Cu2 Cu 0.667 0.333 0.741
H1 H 0.162 0.324 0.273
H2 H 0.162 0.838 0.273
H3 H 0.324 0.162 0.727
H4 H 0.676 0.838 0.273
H5 H 0.838 0.162 0.727
H6 H 0.838 0.676 0.727
```

=====

Simulated powder XRD pattern
Compound: Li9Cu2H4O8
Radiation: Cu Kα
Structure: a GGA-PBE-relaxed structure
Lines closer than 0.1° are merged.

Principal peaks in the range 2θ = 5–70°, sorted by position:
| 2θ (°) | I/Imax |
| --- | --- |
| 16.10 | 47 |
| 18.06 | 99 |
| 24.13 | 47 |
| 29.15 | 90 |
| 29.28 | 65 |
| 30.31 | 100 |
| 33.50 | 25 |
| 36.58 | 32 |
| 40.97 | 32 |
| 44.33 | 20 |
| 46.75 | 27 |
| 53.29 | 21 |

```
data_Li9Cu2H4O8
_chemical_formula_sum 'Li18 Cu4 H8 O16'
_symmetry_space_group_name_H-M 'P 1'
_symmetry_Int_Tables_number 1
_cell_length_a 7.375
_cell_length_b 5.487
_cell_length_c 11.008
_cell_angle_alpha 90.00
_cell_angle_beta 90.00
_cell_angle_gamma 90.00
loop_
_symmetry_equiv_pos_as_xyz
'x,y,z'
loop_
_atom_site_label
_atom_site_type_symbol
_atom_site_fract_x
_atom_site_fract_y
_atom_site_fract_z
Li1 Li 0.000 0.167 0.008
Li2 Li 0.000 0.206 0.500
Li3 Li 0.000 0.310 0.277
Li4 Li 0.000 0.687 0.440
Li5 Li 0.000 0.825 0.671
Li6 Li 0.247 0.944 0.883
Li7 Li 0.249 0.541 0.567
Li8 Li 0.251 0.459 0.067
Li9 Li 0.253 0.056 0.383
Li10 Li 0.500 0.175 0.171
Li11 Li 0.500 0.313 0.940
Li12 Li 0.500 0.690 0.777
Li13 Li 0.500 0.794 0.000
Li14 Li 0.500 0.833 0.508
Li15 Li 0.747 0.056 0.383
Li16 Li 0.749 0.459 0.067
Li17 Li 0.751 0.541 0.567
Li18 Li 0.753 0.944 0.883
Cu1 Cu 0.000 0.274 0.744
Cu2 Cu 0.000 0.742 0.203
Cu3 Cu 0.500 0.258 0.703
Cu4 Cu 0.500 0.726 0.244
H1 H 0.203 0.528 0.856
H2 H 0.231 0.983 0.113
H3 H 0.269 0.017 0.613
H4 H 0.297 0.472 0.356
H5 H 0.703 0.472 0.356
H6 H 0.731 0.017 0.613
H7 H 0.769 0.983 0.113
H8 H 0.797 0.528 0.856
O1 O 0.000 0.014 0.840
O2 O 0.000 0.468 0.114
O3 O 0.000 0.490 0.625
O4 O 0.000 0.970 0.318
O5 O 0.189 0.415 0.400
O6 O 0.212 0.918 0.550
O7 O 0.288 0.082 0.050
O8 O 0.311 0.585 0.900
O9 O 0.500 0.030 0.818
O10 O 0.500 0.510 0.125
O11 O 0.500 0.532 0.614
O12 O 0.500 0.986 0.340
O13 O 0.689 0.585 0.900
O14 O 0.712 0.082 0.050
O15 O 0.788 0.918 0.550
O16 O 0.811 0.415 0.400
```